Entry 1:
This entry pairs a crystal structure of TmAlSi2Rh with its computed X-ray powder pattern. Radiation: Cu Kα X-rays. Structure: a PBE-relaxed structure.
Lines closer than 0.1° are merged.

Crystal structure
Cell lengths 5.606, 5.465, 5.499 Å; angles 90.00, 90.00, 90.00 degrees
Space group Pmma (No. 51)
Asymmetric unit:
1 Tm 0.250 0.000 0.228 [2 per cell]
2 Al 0.250 0.500 0.379 [2 per cell]
3 Si 0.250 0.221 0.737 [4 per cell]
4 Rh 0.000 0.500 0.000 [2 per cell]

Top 8 peaks for 2θ from 10° to 80°, low angle first:
d_spacing  2θ/deg  Rel. int.
5.499  16.12  47
3.926  22.65  61
3.188  27.99  87
2.732  32.78  47
2.495  36.00  93
2.456  36.59  90
2.243  40.21  100
1.963  46.25  61

Entry 2:
This entry pairs a crystal structure of Th2ScPaAs4 with its computed X-ray powder pattern. Radiation: Cu Kα X-rays. Structure: a PBE-relaxed structure.
Lines closer than 0.1° are merged.

Crystal structure
Cell lengths 7.137, 4.143, 7.155 Å; angles 90.00, 109.54, 90.00 degrees
Space group P2/m (No. 10)
Asymmetric unit:
1 Th 0.000 0.000 0.000 [1 per cell]
2 Th 0.500 0.500 0.000 [1 per cell]
3 Sc 0.000 0.500 0.500 [1 per cell]
4 Pa 0.500 0.000 0.500 [1 per cell]
5 As 0.238 0.000 0.729 [2 per cell]
6 As 0.249 0.500 0.268 [2 per cell]

Top 8 peaks for 2θ from 10° to 80°, low angle first:
d_spacing  2θ/deg  Rel. int.
3.376  26.40  23
2.921  30.61  100
2.072  43.70  13
2.065  43.84  50
2.061  43.93  12
1.689  54.30  13
1.460  63.72  12
1.305  72.44  17

Entry 3:
This entry pairs a crystal structure of K4Rb3AgBr8 with its computed X-ray powder pattern. Radiation: Cu Kα X-rays. Structure: a PBE-relaxed structure.
Lines closer than 0.1° are merged.

Crystal structure
Cell lengths 16.580, 9.481, 9.418 Å; angles 90.00, 124.31, 90.00 degrees
Space group C2/m (No. 12)
Asymmetric unit:
1 K 0.000 0.000 0.000 [2 per cell]
2 K 0.000 0.500 0.000 [2 per cell]
3 K 0.250 0.250 0.000 [4 per cell]
4 Rb 0.000 0.000 0.500 [2 per cell]
5 Rb 0.250 0.250 0.500 [4 per cell]
6 Ag 0.000 0.500 0.500 [2 per cell]
7 Br 0.004 0.282 0.729 [8 per cell]
8 Br 0.233 0.000 0.225 [4 per cell]
9 Br 0.246 0.500 0.237 [4 per cell]

Top 8 peaks for 2θ from 10° to 80°, low angle first:
d_spacing  2θ/deg  Rel. int.
7.779  11.38  16
3.424  26.02  56
3.341  26.68  100
2.396  37.54  38
2.387  37.69  38
2.370  37.96  17
2.354  38.23  18
1.949  46.60  18

Entry 4:
This entry pairs a crystal structure of BaGa2SbSe6 with its computed X-ray powder pattern. Radiation: Cu Kα X-rays. Structure: a PBE-relaxed structure.
Lines closer than 0.1° are merged.

Crystal structure
Cell lengths 14.033, 11.216, 7.965 Å; angles 90.00, 110.65, 90.00 degrees
Space group C2/c (No. 15)
Asymmetric unit:
1 Ba 0.000 0.192 0.250 [4 per cell]
2 Ga 0.212 0.429 0.198 [8 per cell]
3 Sb 0.000 0.239 0.750 [4 per cell]
4 Se 0.101 0.067 0.651 [8 per cell]
5 Se 0.132 0.447 0.427 [8 per cell]
6 Se 0.177 0.223 0.086 [8 per cell]

Top 8 peaks for 2θ from 10° to 80°, low angle first:
d_spacing  2θ/deg  Rel. int.
4.264  20.83  54
4.077  21.80  47
3.162  28.22  75
3.055  29.23  80
2.833  31.58  60
2.624  34.17  100
2.533  35.44  59
1.871  48.65  78

Entry 5:
This entry pairs a crystal structure of Pm2Pd4Pt with its computed X-ray powder pattern. Radiation: Cu Kα X-rays. Structure: a PBE-relaxed structure.
Lines closer than 0.1° are merged.

Crystal structure
Cell lengths 11.238, 5.423, 9.345 Å; angles 90.00, 90.00, 90.00 degrees
Space group Cmce (No. 64)
Asymmetric unit:
1 Pm 0.144 0.000 0.000 [8 per cell]
2 Pd 0.000 0.250 0.250 [8 per cell]
3 Pd 0.250 0.249 0.250 [8 per cell]
4 Pt 0.000 0.000 0.500 [4 per cell]

Top 8 peaks for 2θ from 10° to 80°, low angle first:
d_spacing  2θ/deg  Rel. int.
2.927  30.54  92
2.408  37.35  32
2.345  38.38  100
2.336  38.53  49
2.191  41.20  41
1.951  46.55  17
1.351  69.61  17
1.205  79.57  27

Entry 6:
This entry pairs a crystal structure of Na3Ti4O9 with its computed X-ray powder pattern. Radiation: Cu Kα X-rays. Structure: a PBE-relaxed structure.
Lines closer than 0.1° are merged.

Crystal structure
Cell lengths 5.3785, 5.3785, 22.3149 Å; angles 90.00, 90.00, 120.00 degrees
Space group R3 (No. 146, hexagonal axes)
Asymmetric unit:
1 Na 0.0000 0.0000 0.0000 [3 per cell]
2 Na 0.0000 0.0000 0.1638 [3 per cell]
3 Na 0.0000 0.0000 0.5807 [3 per cell]
4 Ti 0.0000 0.0000 0.2955 [3 per cell]
5 Ti 0.0000 0.0000 0.4239 [3 per cell]
6 Ti 0.0000 0.0000 0.7399 [3 per cell]
7 Ti 0.0000 0.0000 0.8683 [3 per cell]
8 O 0.0000 0.4450 0.5819 [9 per cell]
9 O 0.0109 0.5533 0.0260 [9 per cell]
10 O 0.1240 0.7800 0.4713 [9 per cell]

Top 8 peaks for 2θ from 10° to 80°, low angle first:
d_spacing  2θ/deg  Rel. int.
4.298  20.66  100
2.689  33.32  88
2.631  34.08  73
1.881  48.40  75
1.823  50.04  41
1.553  59.54  21
1.541  60.03  30
1.345  69.97  22